[1]
Starting from a structure optimized by DFT (PBE), the powder diffraction line list of GaAg3Se3 was calculated for Cu Ka.

a b c (Å): 7.1166 7.7036 12.3896
angles (deg): 90.00 101.33 90.00
Element x y z (fractional)
Ga (0.1789, 0.0851, 0.0640)
Ga (0.1789, 0.4149, 0.5640)
Ga (0.8211, 0.5851, 0.4360)
Ga (0.8211, 0.9149, 0.9360)
Ag (0.0714, 0.6499, 0.1524)
Ag (0.0714, 0.8501, 0.6524)
Ag (0.3798, 0.1683, 0.3427)
Ag (0.3798, 0.3317, 0.8427)
Ag (0.3958, 0.6940, 0.9328)
Ag (0.3958, 0.8060, 0.4328)
Ag (0.6042, 0.1940, 0.5672)
Ag (0.6042, 0.3060, 0.0672)
Ag (0.6202, 0.6683, 0.1573)
Ag (0.6202, 0.8317, 0.6573)
Ag (0.9286, 0.1499, 0.3476)
Ag (0.9286, 0.3501, 0.8476)
Se (0.1404, 0.5647, 0.3805)
Se (0.1404, 0.9353, 0.8805)
Se (0.2284, 0.1120, 0.5233)
Se (0.2284, 0.3880, 0.0233)
Se (0.3592, 0.6089, 0.7000)
Se (0.3592, 0.8911, 0.2000)
Se (0.6408, 0.1089, 0.8000)
Se (0.6408, 0.3911, 0.3000)
Se (0.7716, 0.6120, 0.9767)
Se (0.7716, 0.8880, 0.4767)
Se (0.8596, 0.0647, 0.1195)
Se (0.8596, 0.4353, 0.6195)

Top 10 peaks for 5° ≤ 2θ ≤ 70°, in order of rising 2θ:
2θ/deg, I_rel
17.63, 296
26.77, 412
27.71, 558
29.29, 364
30.32, 250
31.67, 1000
31.97, 479
35.72, 658
41.23, 301
44.08, 420

=====

[2]
Starting from a structure optimized by DFT (PBE), the powder diffraction line list of Ga2Ag5Se5 was calculated for Cu Ka.

a b c (Å): 6.7668 6.7668 10.9442
angles (deg): 106.92 106.92 33.94
Element x y z (fractional)
Ga (0.0399, 0.0399, 0.2836)
Ga (0.9601, 0.9601, 0.7164)
Ag (0.2731, 0.2731, 0.1698)
Ag (0.3336, 0.3336, 0.4495)
Ag (0.5000, 0.5000, 0.0000)
Ag (0.6664, 0.6664, 0.5505)
Ag (0.7269, 0.7269, 0.8302)
Se (0.0000, 0.0000, 0.5000)
Se (0.1151, 0.1151, 0.9111)
Se (0.3283, 0.3283, 0.7064)
Se (0.6717, 0.6717, 0.2936)
Se (0.8849, 0.8849, 0.0889)

Top 10 peaks for 5° ≤ 2θ ≤ 70°, in order of rising 2θ:
2θ/deg, I_rel
30.75, 1000
31.41, 499
32.49, 565
32.99, 338
33.22, 612
34.36, 295
36.32, 299
40.22, 467
45.95, 483
46.43, 315

=====

[3]
Starting from a structure optimized by DFT (PBE), the powder diffraction line list of TlGaAgSe was calculated for Cu Ka.

a b c (Å): 3.7401 3.7401 8.4021
angles (deg): 103.34 103.34 59.65
Element x y z (fractional)
Tl (0.0000, 0.0000, 0.0000)
Ga (0.8368, 0.8368, 0.5098)
Ag (0.5761, 0.5761, 0.7293)
Se (0.4456, 0.4456, 0.3381)

Top 10 peaks for 5° ≤ 2θ ≤ 70°, in order of rising 2θ:
2θ/deg, I_rel
10.92, 229
28.57, 1000
33.24, 760
33.34, 283
37.79, 315
38.16, 615
48.69, 386
48.97, 190
60.47, 316
63.48, 204

=====

[4]
Starting from a structure optimized by DFT (PBE), the powder diffraction line list of TlGaAgSe was calculated for Cu Ka.

a b c (Å): 3.7150 3.7171 8.0746
angles (deg): 89.23 89.39 60.42
Element x y z (fractional)
Tl (0.0000, 0.0000, 0.0000)
Ga (0.6728, 0.6700, 0.4931)
Ag (0.3354, 0.3342, 0.2728)
Se (0.3375, 0.3324, 0.6667)

Top 10 peaks for 5° ≤ 2θ ≤ 70°, in order of rising 2θ:
2θ/deg, I_rel
10.96, 234
29.71, 389
29.83, 1000
30.09, 195
33.29, 201
35.47, 635
35.71, 495
43.56, 189
48.70, 205
49.03, 401

=====

[5]
Starting from a structure optimized by DFT (PBE), the powder diffraction line list of TlGaAgSe was calculated for Cu Ka.

a b c (Å): 6.7797 6.7797 6.7797
angles (deg): 146.80 142.31 51.09
Element x y z (fractional)
Tl (0.0000, 0.0000, 0.0000)
Ga (0.2366, 0.7366, 0.5000)
Ag (0.6183, 0.6183, 0.0000)
Se (0.3704, 0.3704, 0.0000)

Top 10 peaks for 5° ≤ 2θ ≤ 70°, in order of rising 2θ:
2θ/deg, I_rel
14.48, 477
29.94, 1000
30.81, 865
31.86, 956
34.20, 998
41.22, 418
42.31, 511
43.76, 333
53.03, 453
56.65, 332

=====

[6]
Starting from a structure optimized by DFT (PBE), the powder diffraction line list of Zn2GaAgSe4 was calculated for Cu Ka.

a b c (Å): 6.8121 4.0572 7.2001
angles (deg): 90.00 90.10 90.00
Element x y z (fractional)
Zn (0.0000, 0.0000, 0.0000)
Zn (0.4631, 0.5000, 0.1577)
Ga (0.4616, 0.0000, 0.6799)
Ag (0.9678, 0.5000, 0.4986)
Se (0.1053, 0.5000, 0.1612)
Se (0.1126, 0.0000, 0.6819)
Se (0.5833, 0.5000, 0.5029)
Se (0.6150, 0.0000, 0.9989)

Top 10 peaks for 5° ≤ 2θ ≤ 70°, in order of rising 2θ:
2θ/deg, I_rel
24.73, 462
25.20, 1000
26.16, 769
28.03, 358
28.45, 669
43.83, 825
44.67, 398
47.33, 429
47.60, 815
51.75, 561

=====

[7]
Starting from a structure optimized by DFT (PBE), the powder diffraction line list of GaSiAg was calculated for Cu Ka.

a b c (Å): 2.7829 4.9313 8.0773
angles (deg): 73.15 89.86 89.77
Element x y z (fractional)
Ga (0.0000, 0.0000, 0.0000)
Ga (0.0019, 0.6151, 0.7645)
Si (0.0025, 0.0961, 0.4020)
Si (0.0026, 0.4420, 0.1142)
Ag (0.5021, 0.1662, 0.6745)
Ag (0.5048, 0.6596, 0.3569)

Top 10 peaks for 5° ≤ 2θ ≤ 70°, in order of rising 2θ:
2θ/deg, I_rel
11.45, 498
18.98, 807
33.97, 813
34.25, 761
34.82, 913
36.44, 464
38.14, 546
41.03, 1000
41.21, 585
41.37, 568

=====

[8]
Starting from a structure optimized by DFT (PBE), the powder diffraction line list of GaSiAg was calculated for Cu Ka.

a b c (Å): 3.6388 5.4974 5.7889
angles (deg): 97.93 91.10 107.01
Element x y z (fractional)
Ga (0.0000, 0.0000, 0.0000)
Ga (0.4949, 0.8658, 0.3310)
Si (0.3120, 0.3598, 0.3466)
Si (0.8604, 0.5120, 0.1213)
Ag (0.3139, 0.6578, 0.7484)
Ag (0.5999, 0.2150, 0.7172)

Top 10 peaks for 5° ≤ 2θ ≤ 70°, in order of rising 2θ:
2θ/deg, I_rel
15.49, 842
30.13, 433
31.26, 441
36.49, 452
36.74, 928
38.36, 694
40.21, 1000
42.05, 637
42.17, 529
43.38, 584

=====

[9]
Starting from a structure optimized by DFT (PBE), the powder diffraction line list of GaSiAg was calculated for Cu Ka.

a b c (Å): 2.8312 5.1326 7.9816
angles (deg): 107.64 90.15 105.81
Element x y z (fractional)
Ga (0.0000, 0.0000, 0.0000)
Ga (0.0429, 0.1060, 0.6416)
Si (0.2455, 0.5100, 0.9479)
Si (0.3071, 0.6307, 0.2691)
Ag (0.3123, 0.6399, 0.6308)
Ag (0.5940, 0.1985, 0.3425)

Top 10 peaks for 5° ≤ 2θ ≤ 70°, in order of rising 2θ:
2θ/deg, I_rel
11.68, 735
18.87, 816
35.56, 1000
36.21, 971
38.26, 413
38.42, 425
39.01, 418
39.12, 425
43.06, 360
43.91, 365

=====

[10]
Starting from a structure optimized by DFT (PBE), the powder diffraction line list of Ga2SiAg2 was calculated for Cu Ka.

a b c (Å): 7.9950 7.9950 2.8627
angles (deg): 90.00 90.00 90.00
Element x y z (fractional)
Ga (0.1720, 0.3280, 0.0000)
Ga (0.3280, 0.8280, 0.0000)
Ga (0.6720, 0.1720, 0.0000)
Ga (0.8280, 0.6720, 0.0000)
Si (0.0000, 0.0000, 0.0000)
Si (0.5000, 0.5000, 0.0000)
Ag (0.1278, 0.6278, 0.5000)
Ag (0.3722, 0.1278, 0.5000)
Ag (0.6278, 0.8722, 0.5000)
Ag (0.8722, 0.3722, 0.5000)

Top 10 peaks for 5° ≤ 2θ ≤ 70°, in order of rising 2θ:
2θ/deg, I_rel
15.68, 448
35.14, 111
35.51, 452
40.36, 1000
40.69, 177
45.37, 154
48.30, 118
52.18, 119
56.12, 96
57.40, 82

=====

[11]
Starting from a structure optimized by DFT (PBE), the powder diffraction line list of GaSiAg was calculated for Cu Ka.

a b c (Å): 3.5149 3.5149 11.9436
angles (deg): 92.15 92.15 48.51
Element x y z (fractional)
Ga (0.0000, 0.0000, 0.0000)
Ga (0.6505, 0.6505, 0.4857)
Si (0.0450, 0.0450, 0.2058)
Si (0.3445, 0.3445, 0.3245)
Ag (0.2954, 0.2954, 0.8380)
Ag (0.9839, 0.9839, 0.6556)

Top 10 peaks for 5° ≤ 2θ ≤ 70°, in order of rising 2θ:
2θ/deg, I_rel
7.41, 1000
32.27, 242
35.25, 160
36.75, 118
37.09, 319
40.47, 123
41.45, 169
45.60, 154
46.38, 132
53.37, 169

=====

[12]
Starting from a structure optimized by DFT (PBE), the powder diffraction line list of GaSiAg was calculated for Cu Ka.

a b c (Å): 3.7121 5.3414 5.8597
angles (deg): 91.44 98.06 104.67
Element x y z (fractional)
Ga (0.0749, 0.0475, 0.2782)
Ga (0.9251, 0.9525, 0.7218)
Si (0.2485, 0.4298, 0.6098)
Si (0.7515, 0.5702, 0.3902)
Ag (0.3730, 0.7231, 0.0041)
Ag (0.6270, 0.2769, 0.9959)

Top 10 peaks for 5° ≤ 2θ ≤ 70°, in order of rising 2θ:
2θ/deg, I_rel
15.30, 1000
31.49, 352
32.14, 386
34.18, 437
35.48, 580
37.41, 444
38.94, 474
39.13, 587
43.23, 445
45.61, 403